Structure and calculated powder X-ray diffraction pattern of BiF5 (a DFT-relaxed cell (PBE, the Materials Project); Cu Kα X-rays).
Lines closer than 0.1° are merged.

```
data_BiF5
_chemical_formula_sum 'Bi2 F10'
_cell_length_a 5.6609
_cell_length_b 5.6754
_cell_length_c 8.2150
_cell_angle_alpha 107.98
_cell_angle_beta 97.79
_cell_angle_gamma 110.56
_symmetry_space_group_name_H-M 'P -1'
_symmetry_Int_Tables_number 2
_symmetry_space_group_name_Hall '-P 1'
loop_
_atom_site_label
_atom_site_type_symbol
_atom_site_fract_x
_atom_site_fract_y
_atom_site_fract_z
_atom_site_occupancy
Bi1 Bi 0.0000 0.0000 0.0000 1
Bi2 Bi 0.5000 0.0000 0.5000 1
F1 F 0.1008 0.7397 0.1235 1
F2 F 0.1562 0.9063 0.7480 1
F3 F 0.2567 0.6892 0.4475 1
F4 F 0.3623 0.2278 0.3772 1
F5 F 0.3667 0.2861 0.9472 1
```

Most intense lines, 15 to 90 degrees two-theta, most intense first:
2theta, I (rel.), index
18.1, 100, 1 0 -1
23.7, 91, 0 0 2
21.4, 38, 1 -1 1
35.2, 23, 0 1 2
36.8, 17, 2 0 -2
32.1, 17, 1 -2 1
38.9, 14, 1 -1 3
36.6, 13, 1 1 1

---

Structure and calculated powder X-ray diffraction pattern of BiF4 (a DFT-relaxed cell (PBE, the Materials Project); Cu Kα X-rays).
Lines closer than 0.1° are merged.

```
data_BiF4
_chemical_formula_sum 'Bi4 F16'
_cell_length_a 5.4091
_cell_length_b 5.4091
_cell_length_c 10.8675
_cell_angle_alpha 90.00
_cell_angle_beta 90.00
_cell_angle_gamma 90.00
_symmetry_space_group_name_H-M 'I 4/m m m'
_symmetry_Int_Tables_number 139
_symmetry_space_group_name_Hall '-I 4 2'
loop_
_atom_site_label
_atom_site_type_symbol
_atom_site_fract_x
_atom_site_fract_y
_atom_site_fract_z
_atom_site_occupancy
Bi1 Bi 0.0000 0.0000 0.0000 1
Bi2 Bi 0.0000 0.0000 0.5000 1
F1 F 0.2372 0.2372 0.1110 1
```

Most intense lines, 15 to 90 degrees two-theta, most intense first:
2theta, I (rel.), index
16.3, 100, 0 0 2
28.5, 94, 1 1 2
23.3, 77, 1 1 0
47.4, 42, 2 0 4
37.1, 42, 2 0 2
40.7, 37, 1 1 4
56.4, 29, 3 1 2
50.6, 22, 2 2 2

---

Structure and calculated powder X-ray diffraction pattern of BiF5 (a DFT-relaxed cell (PBE, the Materials Project); Cu Kα X-rays).
Lines closer than 0.1° are merged.

```
data_BiF5
_chemical_formula_sum 'Bi2 F10'
_cell_length_a 6.9161
_cell_length_b 6.9161
_cell_length_c 4.3550
_cell_angle_alpha 90.00
_cell_angle_beta 90.00
_cell_angle_gamma 90.00
_symmetry_space_group_name_H-M 'I 4/m'
_symmetry_Int_Tables_number 87
_symmetry_space_group_name_Hall '-I 4'
loop_
_atom_site_label
_atom_site_type_symbol
_atom_site_fract_x
_atom_site_fract_y
_atom_site_fract_z
_atom_site_occupancy
Bi1 Bi 0.0000 0.0000 0.0000 1
F1 F 0.0000 0.0000 0.5000 1
F2 F 0.0936 0.2754 0.0000 1
```

Most intense lines, 15 to 90 degrees two-theta, most intense first:
2theta, I (rel.), index
24.2, 100, 1 0 1
18.1, 100, 1 1 0
35.6, 42, 1 2 1
25.8, 39, 2 0 0
41.3, 34, 1 3 0
52.1, 23, 2 3 1
59.9, 22, 1 3 2
45.6, 19, 1 1 2

---

Structure and calculated powder X-ray diffraction pattern of BiF5 (a DFT-relaxed cell (PBE, the Materials Project); Cu Kα X-rays).
Lines closer than 0.1° are merged.

```
data_BiF5
_chemical_formula_sum 'Bi2 F10'
_cell_length_a 5.6609
_cell_length_b 5.6754
_cell_length_c 8.2150
_cell_angle_alpha 107.98
_cell_angle_beta 97.79
_cell_angle_gamma 110.56
_symmetry_space_group_name_H-M 'P 1'
_symmetry_Int_Tables_number 1
_symmetry_space_group_name_Hall 'P 1'
loop_
_atom_site_label
_atom_site_type_symbol
_atom_site_fract_x
_atom_site_fract_y
_atom_site_fract_z
_atom_site_occupancy
Bi1 Bi 0.0000 0.0000 0.0000 1
Bi2 Bi 0.0059 0.5017 0.5009 1
F1 F 0.1032 0.3451 0.2515 1
F2 F 0.2202 0.8590 0.1221 1
F3 F 0.2620 0.3970 0.6243 1
F4 F 0.2972 0.8653 0.5540 1
F5 F 0.3154 0.2353 0.9487 1
F6 F 0.6828 0.7657 0.0505 1
F7 F 0.7142 0.1394 0.4500 1
F8 F 0.7517 0.6050 0.3742 1
F9 F 0.7772 0.1388 0.8780 1
F10 F 0.9056 0.6563 0.7494 1
```

Most intense lines, 15 to 90 degrees two-theta, most intense first:
2theta, I (rel.), index
17.4, 100, 1 0 0
23.7, 52, 0 0 2
21.4, 36, 1 -1 1
35.2, 26, 1 -2 2
25.2, 23, 0 1 1
25.3, 23, 1 0 -2
27.6, 18, 1 1 -1
33.3, 14, 1 -2 0

---

Structure and calculated powder X-ray diffraction pattern of BiF5 (a DFT-relaxed cell (PBE, the Materials Project); Cu Kα X-rays).
Lines closer than 0.1° are merged.

```
data_BiF5
_chemical_formula_sum 'Bi2 F10'
_cell_length_a 3.8851
_cell_length_b 4.7526
_cell_length_c 9.3321
_cell_angle_alpha 90.00
_cell_angle_beta 90.00
_cell_angle_gamma 90.00
_symmetry_space_group_name_H-M 'I m m m'
_symmetry_Int_Tables_number 71
_symmetry_space_group_name_Hall '-I 2 2'
loop_
_atom_site_label
_atom_site_type_symbol
_atom_site_fract_x
_atom_site_fract_y
_atom_site_fract_z
_atom_site_occupancy
Bi1 Bi 0.0000 0.0000 0.0000 1
F1 F 0.0000 0.0000 0.2161 1
F2 F 0.0000 0.2606 0.5000 1
F3 F 0.0000 0.5000 0.0000 1
```

Most intense lines, 15 to 90 degrees two-theta, most intense first:
2theta, I (rel.), index
21.0, 100, 0 1 1
19.0, 87, 0 0 2
24.8, 65, 1 0 1
29.7, 56, 1 1 0
45.8, 51, 1 2 1
35.5, 31, 1 1 2
49.4, 25, 1 1 4
54.0, 24, 1 2 3

---

Structure and calculated powder X-ray diffraction pattern of BiF5 (a DFT-relaxed cell (PBE, the Materials Project); Cu Kα X-rays).
Lines closer than 0.1° are merged.

```
data_BiF5
_chemical_formula_sum 'Bi4 F20'
_cell_length_a 3.8205
_cell_length_b 11.5915
_cell_length_c 8.9310
_cell_angle_alpha 90.00
_cell_angle_beta 90.00
_cell_angle_gamma 90.00
_symmetry_space_group_name_H-M 'C m c m'
_symmetry_Int_Tables_number 63
_symmetry_space_group_name_Hall '-C 2c 2'
loop_
_atom_site_label
_atom_site_type_symbol
_atom_site_fract_x
_atom_site_fract_y
_atom_site_fract_z
_atom_site_occupancy
Bi1 Bi 0.0000 0.0000 0.0000 1
F1 F 0.0000 0.0081 0.2500 1
F2 F 0.0000 0.1671 0.5642 1
F3 F 0.0000 0.4268 0.5920 1
```

Most intense lines, 15 to 90 degrees two-theta, most intense first:
2theta, I (rel.), index
15.3, 100, 0 2 0
24.5, 56, 1 1 0
19.9, 55, 0 0 2
31.8, 45, 1 1 2
25.2, 38, 0 2 2
50.3, 27, 2 2 0
47.8, 26, 1 1 4
38.8, 19, 1 3 2